Diffraction record for LiTaCu. The PXRD pattern is calculated, not measured: it uses the PBE geometry in Alexandria and Cu Ka.

Atomic structure:
Cell lengths 2.738, 2.738, 12.273 Å; angles 90.00, 90.00, 90.00 degrees
Space group I4mm (No. 107)
Symmetry-distinct sites (fractional):
1 Li 0.000 0.000 0.000 x2
2 Ta 0.000 0.000 0.303 x2
3 Cu 0.000 0.000 0.647 x2

Most intense lines, 15 to 90 degrees two-theta, in order of rising 2θ:
2theta	I (rel.)
33.53	54
39.60	100
44.28	18
46.92	31
49.35	22
49.89	25
66.49	21
82.16	24

***

Diffraction record for LiTa2Cu. The PXRD pattern is calculated, not measured: it uses the PBE geometry in Alexandria and Cu Ka.

Atomic structure:
Cell lengths 3.097, 4.365, 9.562 Å; angles 90.00, 90.00, 90.00 degrees
Space group Immm (No. 71)
Symmetry-distinct sites (fractional):
1 Li 0.000 0.000 0.000 x2
2 Ta 0.000 0.500 0.237 x4
3 Cu 0.000 0.000 0.500 x2

Most intense lines, 15 to 90 degrees two-theta, in order of rising 2θ:
2theta	I (rel.)
18.56	74
35.54	31
37.63	29
40.38	100
41.37	24
52.72	18
57.15	17
69.77	17

***

Diffraction record for LiTbCu17. The PXRD pattern is calculated, not measured: it uses the PBE geometry in Alexandria and Cu Ka.

Atomic structure:
Cell lengths 8.4602, 8.4602, 12.4961 Å; angles 90.00, 90.00, 120.00 degrees
Space group R3m (No. 160, hexagonal axes)
Symmetry-distinct sites (fractional):
1 Li 0.0000 0.0000 0.0000 x3
2 Tb 0.0000 0.0000 0.6825 x3
3 Cu 0.0000 0.0000 0.2413 x3
4 Cu 0.0000 0.0000 0.4368 x3
5 Cu 0.0343 0.3644 0.0083 x18
6 Cu 0.1681 0.3361 0.1767 x9
7 Cu 0.1687 0.3373 0.5204 x9
8 Cu 0.1693 0.3386 0.8278 x9

Most intense lines, 15 to 90 degrees two-theta, in order of rising 2θ:
2theta	I (rel.)
36.80	34
37.85	28
42.75	58
42.93	100
43.45	35
43.85	20
48.26	64
78.29	21

***

Diffraction record for LiTb2Cu3. The PXRD pattern is calculated, not measured: it uses the PBE geometry in Alexandria and Cu Ka.

Atomic structure:
Cell lengths 7.057, 8.665, 14.946 Å; angles 90.00, 90.00, 90.00 degrees
Space group Fmmm (No. 69)
Symmetry-distinct sites (fractional):
1 Li 0.000 0.000 0.167 x8
2 Tb 0.247 0.000 0.500 x8
3 Tb 0.250 0.250 0.250 x8
4 Cu 0.000 0.000 0.334 x8
5 Cu 0.000 0.249 0.417 x16

Most intense lines, 15 to 90 degrees two-theta, in order of rising 2θ:
2theta	I (rel.)
23.76	32
34.94	100
41.69	16
41.83	32
55.52	17
55.67	9
68.67	21
71.95	16